Record 1
For Na2MgFeCl6, a PBE-relaxed structure gives the theoretical X-ray diffraction stick pattern in this record (Cu Kα (λ = 1.5418 Å)).
Neutral-atom scattering factors, no anomalous dispersion.

Main lines, most intense first (10 to 80 degrees two-theta):
| d/Å | Rel. int. |
| --- | --- |
| 2.903 | 100 |
| 4.830 | 57 |
| 2.191 | 57 |
| 2.415 | 49 |
| 1.938 | 37 |
| 3.477 | 20 |
| 1.672 | 15 |
| 1.960 | 15 |
| 2.180 | 14 |
| 1.275 | 12 |

Structural model:
abc: 6.963 6.963 6.963
angles: 57.65 57.65 57.65
Element x y z (fractional)
Na: 0.000 0.000 0.000
Na: 0.500 0.500 0.500
Mg: 0.709 0.709 0.709
Fe: 0.209 0.209 0.209
Cl: 0.065 0.850 0.444
Cl: 0.346 0.561 0.948
Cl: 0.444 0.065 0.850
Cl: 0.561 0.948 0.346
Cl: 0.850 0.444 0.065
Cl: 0.948 0.346 0.561


Record 2
For Cs4SnGe3Br12, a PBE-relaxed structure gives the theoretical X-ray diffraction stick pattern in this record (Cu Kα (λ = 1.5418 Å)).
Neutral-atom scattering factors, no anomalous dispersion.

Main lines, most intense first (10 to 80 degrees two-theta):
| d/Å | Rel. int. |
| --- | --- |
| 2.838 | 100 |
| 3.277 | 77 |
| 2.007 | 72 |
| 4.014 | 41 |
| 1.711 | 33 |
| 1.269 | 32 |
| 1.639 | 25 |
| 2.317 | 19 |
| 1.302 | 13 |
| 1.419 | 12 |

Structural model:
abc: 9.831 9.831 9.831
angles: 109.47 109.47 109.47
Element x y z (fractional)
Cs: 0.000 0.000 0.500
Cs: 0.000 0.500 0.000
Cs: 0.500 0.000 0.000
Cs: 0.500 0.500 0.500
Sn: 0.000 0.000 0.000
Ge: 0.000 0.500 0.500
Ge: 0.500 0.000 0.500
Ge: 0.500 0.500 0.000
Br: 0.000 0.257 0.257
Br: 0.000 0.743 0.743
Br: 0.250 0.500 0.750
Br: 0.250 0.750 0.500
Br: 0.257 0.000 0.257
Br: 0.257 0.257 0.000
Br: 0.500 0.250 0.750
Br: 0.500 0.750 0.250
Br: 0.743 0.000 0.743
Br: 0.743 0.743 0.000
Br: 0.750 0.250 0.500
Br: 0.750 0.500 0.250


Record 3
For Sr3Sb, a PBE-relaxed structure gives the theoretical X-ray diffraction stick pattern in this record (Cu Kα (λ = 1.5418 Å)).
Neutral-atom scattering factors, no anomalous dispersion.

Main lines, most intense first (10 to 80 degrees two-theta):
| d/Å | Rel. int. |
| --- | --- |
| 3.246 | 100 |
| 3.013 | 73 |
| 3.078 | 72 |
| 3.385 | 58 |
| 2.873 | 50 |
| 2.762 | 47 |
| 2.713 | 45 |
| 1.810 | 44 |
| 3.209 | 39 |
| 2.630 | 34 |

Structural model:
abc: 8.750 10.685 7.399
angles: 90.00 90.00 90.00
Element x y z (fractional)
Sr: 0.033 0.250 0.129
Sr: 0.179 0.058 0.662
Sr: 0.179 0.442 0.662
Sr: 0.321 0.558 0.162
Sr: 0.321 0.942 0.162
Sr: 0.467 0.750 0.629
Sr: 0.533 0.250 0.371
Sr: 0.679 0.058 0.838
Sr: 0.679 0.442 0.838
Sr: 0.821 0.558 0.338
Sr: 0.821 0.942 0.338
Sr: 0.967 0.750 0.871
Sb: 0.117 0.750 0.441
Sb: 0.383 0.250 0.941
Sb: 0.617 0.750 0.059
Sb: 0.883 0.250 0.559


Record 4
For Li2AlPd4, a PBE-relaxed structure gives the theoretical X-ray diffraction stick pattern in this record (Cu Kα (λ = 1.5418 Å)).
Neutral-atom scattering factors, no anomalous dispersion.

Main lines, most intense first (10 to 80 degrees two-theta):
| d/Å | Rel. int. |
| --- | --- |
| 2.085 | 100 |
| 2.958 | 97 |
| 2.091 | 50 |
| 2.939 | 48 |
| 1.704 | 37 |
| 1.206 | 33 |
| 1.479 | 16 |
| 1.202 | 16 |
| 1.323 | 16 |
| 1.321 | 16 |

Structural model:
abc: 5.112 5.112 5.112
angles: 109.30 109.30 109.81
Element x y z (fractional)
Li: 0.000 0.500 0.500
Li: 0.500 0.000 0.500
Al: 0.000 0.000 0.000
Pd: 0.000 0.000 0.500
Pd: 0.000 0.500 0.000
Pd: 0.500 0.000 0.000
Pd: 0.500 0.500 0.500


Record 5
For CeMgSc2Ga4, a PBE-relaxed structure gives the theoretical X-ray diffraction stick pattern in this record (Cu Kα (λ = 1.5418 Å)).
Neutral-atom scattering factors, no anomalous dispersion.

Main lines, most intense first (10 to 80 degrees two-theta):
| d/Å | Rel. int. |
| --- | --- |
| 2.489 | 100 |
| 2.385 | 92 |
| 1.722 | 32 |
| 1.396 | 31 |
| 3.182 | 16 |
| 4.076 | 16 |
| 1.459 | 16 |
| 1.377 | 15 |
| 8.315 | 15 |
| 1.244 | 9 |

Structural model:
abc: 8.759 8.759 8.759
angles: 31.60 31.60 31.60
Element x y z (fractional)
Ce: 0.000 0.000 0.000
Mg: 0.500 0.500 0.500
Sc: 0.243 0.243 0.243
Sc: 0.757 0.757 0.757
Ga: 0.126 0.126 0.126
Ga: 0.381 0.381 0.381
Ga: 0.619 0.619 0.619
Ga: 0.874 0.874 0.874


Record 6
For LiTc2F11, a PBE-relaxed structure gives the theoretical X-ray diffraction stick pattern in this record (Cu Kα (λ = 1.5418 Å)).
Neutral-atom scattering factors, no anomalous dispersion.

Main lines, most intense first (10 to 80 degrees two-theta):
| d/Å | Rel. int. |
| --- | --- |
| 4.149 | 100 |
| 5.215 | 59 |
| 2.756 | 26 |
| 4.036 | 22 |
| 2.075 | 19 |
| 3.192 | 13 |
| 5.459 | 12 |
| 1.884 | 11 |
| 1.894 | 11 |
| 3.246 | 7 |

Structural model:
abc: 8.561 8.561 8.561
angles: 123.74 100.76 104.94
Element x y z (fractional)
Li: 0.250 0.250 0.000
Li: 0.750 0.750 0.000
Tc: 0.091 0.721 0.812
Tc: 0.409 0.221 0.630
Tc: 0.591 0.779 0.370
Tc: 0.909 0.279 0.188
F: 0.000 0.500 0.500
F: 0.052 0.504 0.822
F: 0.106 0.939 0.796
F: 0.143 0.310 0.204
F: 0.179 0.919 0.098
F: 0.182 0.004 0.452
F: 0.318 0.771 0.822
F: 0.321 0.419 0.740
F: 0.357 0.561 0.167
F: 0.394 0.190 0.833
F: 0.448 0.271 0.452
F: 0.500 0.000 0.500
F: 0.552 0.729 0.548
F: 0.606 0.810 0.167
F: 0.643 0.439 0.833
F: 0.679 0.581 0.260
F: 0.682 0.229 0.178
F: 0.818 0.996 0.548
F: 0.821 0.081 0.902
F: 0.857 0.690 0.796
F: 0.894 0.061 0.204
F: 0.948 0.496 0.178


Record 7
For MgScTcSn, a PBE-relaxed structure gives the theoretical X-ray diffraction stick pattern in this record (Cu Kα (λ = 1.5418 Å)).
Neutral-atom scattering factors, no anomalous dispersion.

Main lines, most intense first (10 to 80 degrees two-theta):
| d/Å | Rel. int. |
| --- | --- |
| 2.409 | 100 |
| 4.083 | 32 |
| 2.280 | 22 |
| 2.292 | 21 |
| 3.361 | 15 |
| 1.806 | 10 |
| 2.333 | 10 |
| 1.416 | 9 |
| 1.419 | 9 |
| 1.339 | 8 |

Structural model:
abc: 5.422 5.422 4.560
angles: 114.68 114.68 38.92
Element x y z (fractional)
Mg: 0.000 0.000 0.000
Sc: 0.763 0.763 0.262
Tc: 0.260 0.260 0.759
Sn: 0.527 0.527 0.528


Record 8
For KNdZrSnO6, a PBE-relaxed structure gives the theoretical X-ray diffraction stick pattern in this record (Cu Kα (λ = 1.5418 Å)).
Neutral-atom scattering factors, no anomalous dispersion.

Main lines, most intense first (10 to 80 degrees two-theta):
| d/Å | Rel. int. |
| --- | --- |
| 2.920 | 100 |
| 1.686 | 40 |
| 2.065 | 34 |
| 1.460 | 20 |
| 4.768 | 19 |
| 1.306 | 17 |
| 2.490 | 11 |
| 1.895 | 5 |
| 1.589 | 4 |
| 1.396 | 4 |

Structural model:
abc: 5.840 5.840 5.840
angles: 60.00 60.00 60.00
Element x y z (fractional)
K: 0.000 0.000 0.000
Nd: 0.500 0.500 0.500
Zr: 0.250 0.250 0.250
Sn: 0.750 0.750 0.750
O: 0.502 0.502 0.998
O: 0.502 0.998 0.502
O: 0.502 0.998 0.998
O: 0.998 0.502 0.502
O: 0.998 0.502 0.998
O: 0.998 0.998 0.502